LaPu2Ge: computed powder XRD pattern (Cu Kα), based on DFT lattice parameters and positions (PBE).
Lines closer than 0.1° are merged.

Crystal structure
```
data_LaPu2Ge
_cell_length_a 4.5659
_cell_length_b 4.5659
_cell_length_c 4.8866
_cell_angle_alpha 90.00
_cell_angle_beta 90.00
_cell_angle_gamma 90.00
_symmetry_space_group_name_H-M 'P 4/m m m'
_symmetry_Int_Tables_number 123
_symmetry_space_group_name_Hall '-P 4 2'
loop_
_atom_site_label
_atom_site_type_symbol
_atom_site_fract_x
_atom_site_fract_y
_atom_site_fract_z
La1 La 0.0000 0.0000 0.0000
Pu1 Pu 0.0000 0.5000 0.5000
Ge1 Ge 0.5000 0.5000 0.0000
```

The 12 most intense peaks (2θ = 10–90°), sorted by position:
2θ = 18.2°, d 4.887, I 15, hkl 0 0 1; 2θ = 27.6°, d 3.229, I 11, hkl 1 1 0; 2θ = 33.3°, d 2.694, I 100, hkl 1 1 1; 2θ = 36.8°, d 2.443, I 19, hkl 0 0 2; 2θ = 39.5°, d 2.283, I 32, hkl 2 0 0; 2θ = 43.8°, d 2.068, I 7, hkl 2 0 1; 2θ = 46.6°, d 1.948, I 6, hkl 1 1 2; 2θ = 55.1°, d 1.668, I 24, hkl 2 0 2; 2θ = 57.1°, d 1.614, I 11, hkl 2 2 0; 2θ = 64.0°, d 1.454, I 16, hkl 1 1 3; 2θ = 67.7°, d 1.385, I 26, hkl 3 1 1; 2θ = 69.8°, d 1.347, I 12, hkl 2 2 2



La3PuGe6: computed powder XRD pattern (Cu Kα), based on DFT lattice parameters and positions (PBE).
Lines closer than 0.1° are merged.

Crystal structure
```
data_La3PuGe6
_cell_length_a 12.0989
_cell_length_b 12.0989
_cell_length_c 11.8002
_cell_angle_alpha 90.00
_cell_angle_beta 90.00
_cell_angle_gamma 120.00
_symmetry_space_group_name_H-M 'R -3 c'
_symmetry_Int_Tables_number 167
_symmetry_space_group_name_Hall '-R 3 2"c'
loop_
_atom_site_label
_atom_site_type_symbol
_atom_site_fract_x
_atom_site_fract_y
_atom_site_fract_z
La1 La 0.0000 0.4358 0.2500
Pu1 Pu 0.0000 0.0000 0.0000
Ge1 Ge 0.0694 0.2190 0.3403
```

The 12 most intense peaks (2θ = 10–90°), sorted by position:
2θ = 17.2°, d 5.141, I 29, hkl 0 1 2; 2θ = 27.1°, d 3.292, I 46, hkl 1 2 2; 2θ = 29.5°, d 3.025, I 24, hkl 2 2 0; 2θ = 31.7°, d 2.822, I 76, hkl 1 3 1; 2θ = 34.4°, d 2.607, I 100, hkl 3 1 2; 2θ = 34.9°, d 2.571, I 75, hkl 0 2 4; 2θ = 44.7°, d 2.027, I 14, hkl 1 2 5; 2θ = 45.9°, d 1.977, I 22, hkl 4 1 3; 2θ = 48.7°, d 1.870, I 15, hkl 1 1 6; 2θ = 50.9°, d 1.793, I 37, hkl 1 5 2; 2θ = 54.7°, d 1.678, I 19, hkl 5 2 0; 2θ = 66.4°, d 1.408, I 17, hkl 3 3 6



Rb3La3GeS8: computed powder XRD pattern (Cu Kα), based on DFT lattice parameters and positions (PBE).
Lines closer than 0.1° are merged.

Crystal structure
```
data_Rb3La3GeS8
_cell_length_a 8.3447
_cell_length_b 8.3447
_cell_length_c 23.4920
_cell_angle_alpha 90.00
_cell_angle_beta 90.00
_cell_angle_gamma 120.00
_symmetry_space_group_name_H-M 'R -3 m'
_symmetry_Int_Tables_number 166
_symmetry_space_group_name_Hall '-R 3 2"'
loop_
_atom_site_label
_atom_site_type_symbol
_atom_site_fract_x
_atom_site_fract_y
_atom_site_fract_z
Rb1 Rb 0.0000 0.5000 0.0000
La1 La 0.0000 0.5000 0.5000
Ge1 Ge 0.0000 0.0000 0.5000
S1 S 0.0000 0.0000 0.2325
S2 S 0.0429 0.5215 0.2263
```

The 12 most intense peaks (2θ = 10–90°), sorted by position:
2θ = 11.3°, d 7.831, I 38, hkl 0 0 3; 2θ = 22.7°, d 3.915, I 21, hkl 0 0 6; 2θ = 25.8°, d 3.454, I 35, hkl 2 0 2; 2θ = 29.0°, d 3.078, I 100, hkl 0 2 4; 2θ = 36.5°, d 2.459, I 11, hkl 0 2 7; 2θ = 39.5°, d 2.279, I 34, hkl 2 0 8; 2θ = 43.4°, d 2.086, I 33, hkl 2 2 0; 2θ = 46.1°, d 1.970, I 15, hkl 0 2 10; 2θ = 49.5°, d 1.841, I 17, hkl 2 2 6; 2θ = 53.0°, d 1.727, I 16, hkl 4 0 4; 2θ = 65.4°, d 1.428, I 11, hkl 2 2 12; 2θ = 70.8°, d 1.330, I 13, hkl 2 4 4



Rb2LaGeSe4: computed powder XRD pattern (Cu Kα), based on DFT lattice parameters and positions (PBE).
Lines closer than 0.1° are merged.

Crystal structure
```
data_Rb2LaGeSe4
_cell_length_a 8.7793
_cell_length_b 9.0791
_cell_length_c 12.6861
_cell_angle_alpha 90.00
_cell_angle_beta 90.00
_cell_angle_gamma 90.00
_symmetry_space_group_name_H-M 'I m m a'
_symmetry_Int_Tables_number 74
_symmetry_space_group_name_Hall '-I 2b 2'
loop_
_atom_site_label
_atom_site_type_symbol
_atom_site_fract_x
_atom_site_fract_y
_atom_site_fract_z
Rb1 Rb 0.0000 0.0000 0.0000
Rb2 Rb 0.2500 0.2500 0.2500
La1 La 0.0000 0.0000 0.5000
Ge1 Ge 0.2500 0.2500 0.7500
Se1 Se 0.0000 0.0523 0.7395
Se2 Se 0.2241 0.2500 0.5237
```

The 12 most intense peaks (2θ = 10–90°), sorted by position:
2θ = 12.3°, d 7.219, I 12, hkl 1 0 1; 2θ = 28.1°, d 3.172, I 52, hkl 0 0 4; 2θ = 28.3°, d 3.156, I 100, hkl 2 2 0; 2θ = 39.7°, d 2.270, I 15, hkl 0 4 0; 2θ = 40.3°, d 2.237, I 69, hkl 2 2 4; 2θ = 41.1°, d 2.195, I 18, hkl 4 0 0; 2θ = 49.4°, d 1.846, I 15, hkl 0 4 4; 2θ = 50.6°, d 1.805, I 18, hkl 4 0 4; 2θ = 58.5°, d 1.578, I 9, hkl 4 4 0; 2θ = 65.9°, d 1.417, I 12, hkl 2 2 8; 2θ = 66.1°, d 1.413, I 11, hkl 4 4 4; 2θ = 74.4°, d 1.275, I 9, hkl 6 2 4



La3Ge5Rh6: computed powder XRD pattern (Cu Kα), based on DFT lattice parameters and positions (PBE).
Lines closer than 0.1° are merged.

Crystal structure
```
data_La3Ge5Rh6
_cell_length_a 4.1467
_cell_length_b 12.8300
_cell_length_c 10.1467
_cell_angle_alpha 90.00
_cell_angle_beta 90.00
_cell_angle_gamma 90.00
_symmetry_space_group_name_H-M 'P m m n'
_symmetry_Int_Tables_number 59
loop_
_symmetry_equiv_pos_as_xyz
'x,y,z'
'-x,-y,-z'
'-x+1/2,-y+1/2,z'
'x+1/2,y+1/2,-z'
'x+1/2,-y,-z'
'-x+1/2,y,z'
'-x,y+1/2,-z'
'x,-y+1/2,z'
loop_
_atom_site_label
_atom_site_type_symbol
_atom_site_fract_x
_atom_site_fract_y
_atom_site_fract_z
La1 La 0.2500 0.0927 0.2429
La2 La 0.2500 0.7500 0.2472
Ge1 Ge 0.2500 0.0759 0.6459
Ge2 Ge 0.2500 0.6267 0.9927
Ge3 Ge 0.2500 0.7500 0.6104
Rh1 Rh 0.2500 0.0488 0.8983
Rh2 Rh 0.2500 0.2500 0.0065
Rh3 Rh 0.2500 0.2500 0.5211
Rh4 Rh 0.2500 0.5804 0.4913
```

The 12 most intense peaks (2θ = 10–90°), sorted by position:
2θ = 33.8°, d 2.653, I 31, hkl 0 3 3; 2θ = 34.2°, d 2.621, I 36, hkl 1 0 3; 2θ = 34.9°, d 2.568, I 100, hkl 1 3 2; 2θ = 42.3°, d 2.138, I 21, hkl 0 6 0; 2θ = 42.4°, d 2.133, I 11, hkl 1 5 1; 2θ = 43.7°, d 2.073, I 33, hkl 2 0 0; 2θ = 49.7°, d 1.834, I 11, hkl 0 3 5; 2θ = 55.5°, d 1.657, I 10, hkl 1 6 3; 2θ = 56.3°, d 1.634, I 19, hkl 2 3 3; 2θ = 62.4°, d 1.489, I 13, hkl 2 6 0; 2θ = 63.2°, d 1.470, I 19, hkl 1 3 6; 2θ = 74.5°, d 1.273, I 11, hkl 3 3 2



La6Ge2Rh: computed powder XRD pattern (Cu Kα), based on DFT lattice parameters and positions (PBE).
Lines closer than 0.1° are merged.

Crystal structure
```
data_La6Ge2Rh
_cell_length_a 4.4024
_cell_length_b 14.2615
_cell_length_c 8.2334
_cell_angle_alpha 90.00
_cell_angle_beta 90.00
_cell_angle_gamma 90.00
_symmetry_space_group_name_H-M 'A m m 2'
_symmetry_Int_Tables_number 38
_symmetry_space_group_name_Hall 'A 2 -2'
loop_
_atom_site_label
_atom_site_type_symbol
_atom_site_fract_x
_atom_site_fract_y
_atom_site_fract_z
La1 La 0.0000 0.0000 0.0000
La2 La 0.0000 0.1225 0.6320
La3 La 0.5000 0.0000 0.3298
La4 La 0.5000 0.2124 0.9668
Ge1 Ge 0.0000 0.1667 0.2545
Rh1 Rh 0.5000 0.0000 0.7554
```

The 12 most intense peaks (2θ = 10–90°), sorted by position:
2θ = 29.7°, d 3.007, I 85, hkl 1 0 2; 2θ = 32.3°, d 2.771, I 100, hkl 1 4 0; 2θ = 33.2°, d 2.695, I 61, hkl 0 5 1; 2θ = 37.9°, d 2.377, I 19, hkl 0 3 3; 2θ = 39.2°, d 2.299, I 25, hkl 1 5 1; 2θ = 41.0°, d 2.201, I 27, hkl 2 0 0; 2θ = 50.6°, d 1.804, I 20, hkl 1 2 4; 2θ = 53.8°, d 1.705, I 31, hkl 2 5 1; 2θ = 57.0°, d 1.615, I 11, hkl 2 3 3; 2θ = 60.4°, d 1.533, I 29, hkl 1 8 2; 2θ = 69.2°, d 1.357, I 14, hkl 3 4 0; 2θ = 89.8°, d 1.092, I 10, hkl 3 8 2



La3Ge2Rh7: computed powder XRD pattern (Cu Kα), based on DFT lattice parameters and positions (PBE).
Lines closer than 0.1° are merged.

Crystal structure
```
data_La3Ge2Rh7
_cell_length_a 5.5948
_cell_length_b 5.5948
_cell_length_c 24.6519
_cell_angle_alpha 90.00
_cell_angle_beta 90.00
_cell_angle_gamma 120.00
_symmetry_space_group_name_H-M 'R -3 m'
_symmetry_Int_Tables_number 166
_symmetry_space_group_name_Hall '-R 3 2"'
loop_
_atom_site_label
_atom_site_type_symbol
_atom_site_fract_x
_atom_site_fract_y
_atom_site_fract_z
La1 La 0.0000 0.0000 0.0000
La2 La 0.0000 0.0000 0.1407
Ge1 Ge 0.0000 0.0000 0.3332
Rh1 Rh 0.0000 0.0000 0.5000
Rh2 Rh 0.0021 0.5010 0.0773
```

The 12 most intense peaks (2θ = 10–90°), sorted by position:
2θ = 31.4°, d 2.849, I 30, hkl 1 0 7; 2θ = 32.0°, d 2.797, I 31, hkl 1 1 0; 2θ = 34.5°, d 2.600, I 32, hkl 0 1 8; 2θ = 37.3°, d 2.411, I 48, hkl 0 2 1; 2θ = 37.8°, d 2.377, I 21, hkl 2 0 2; 2θ = 39.0°, d 2.312, I 100, hkl 1 1 6; 2θ = 41.5°, d 2.174, I 27, hkl 2 0 5; 2θ = 44.1°, d 2.054, I 15, hkl 0 0 12; 2θ = 58.6°, d 1.574, I 14, hkl 1 2 8; 2θ = 61.7°, d 1.503, I 25, hkl 0 3 6; 2θ = 65.5°, d 1.424, I 18, hkl 2 0 14; 2θ = 66.9°, d 1.399, I 30, hkl 2 2 0



La2Ge7Rh12: computed powder XRD pattern (Cu Kα), based on DFT lattice parameters and positions (PBE).
Lines closer than 0.1° are merged.

Crystal structure
```
data_La2Ge7Rh12
_cell_length_a 10.0394
_cell_length_b 10.0394
_cell_length_c 3.9668
_cell_angle_alpha 90.00
_cell_angle_beta 90.00
_cell_angle_gamma 120.00
_symmetry_space_group_name_H-M 'P -3'
_symmetry_Int_Tables_number 147
_symmetry_space_group_name_Hall '-P 3'
loop_
_atom_site_label
_atom_site_type_symbol
_atom_site_fract_x
_atom_site_fract_y
_atom_site_fract_z
La1 La 0.3333 0.6667 0.2506
Ge1 Ge 0.0000 0.0000 0.0000
Ge2 Ge 0.1091 0.3981 0.7501
Rh1 Rh 0.0612 0.6190 0.7487
Rh2 Rh 0.1202 0.8590 0.2486
```

The 12 most intense peaks (2θ = 10–90°), sorted by position:
2θ = 35.5°, d 2.531, I 100, hkl 1 2 1; 2θ = 35.8°, d 2.510, I 9, hkl 2 2 0; 2θ = 38.5°, d 2.340, I 9, hkl 0 3 1; 2θ = 41.5°, d 2.174, I 8, hkl 4 0 0; 2θ = 43.9°, d 2.061, I 19, hkl 4 -3 1; 2θ = 45.5°, d 1.995, I 12, hkl 2 3 0; 2θ = 45.7°, d 1.983, I 20, hkl 0 0 2; 2θ = 47.7°, d 1.906, I 8, hkl 4 0 1; 2θ = 47.9°, d 1.897, I 21, hkl 4 1 0; 2θ = 68.4°, d 1.371, I 11, hkl 5 -4 2; 2θ = 77.9°, d 1.227, I 11, hkl 3 -1 3; 2θ = 81.1°, d 1.185, I 10, hkl 3 5 1